# Sr2IrN3
Simulated powder X-ray diffraction pattern, CuKα. Input: a cell relaxed with GGA-PBE.

Crystal structure
abc: 5.523 11.350 12.490
angles: 90.00 95.43 90.00
Space group C2/c (No. 15)
Asymmetric unit:
Sr 0.221 0.200 0.356 x8
Sr 0.234 0.108 0.925 x8
Ir 0.206 0.496 0.831 x8
N 0.000 0.002 0.750 x4
N 0.000 0.382 0.250 x4
N 0.208 0.332 0.866 x8
N 0.248 0.405 0.457 x8

Top 6 peaks for 2θ from 15° to 90°, sorted by position:
| d/Å | 2θ/deg | Rel. int. |
| --- | --- | --- |
| 5.675 | 15.62 | 81 |
| 4.043 | 21.98 | 48 |
| 2.848 | 31.41 | 100 |
| 2.749 | 32.57 | 82 |
| 2.728 | 32.83 | 69 |
| 2.537 | 35.38 | 57 |